Starting from DFT lattice parameters and positions (PBE), the powder XRD pattern of Dy3SnGe was simulated for Cu Ka.
Peak positions follow from Bragg's law for the DFT cell and can differ from measured ones.

Structural model:
Lattice parameters (Å, degrees): 8.2890 8.2890 8.2631 90.00 90.00 83.23
Atoms (fractional coordinates):
Dy 0.0084 0.6972 0.4165
Dy 0.0724 0.9276 0.8070
Dy 0.1972 0.5084 0.9165
Dy 0.3028 0.9916 0.4165
Dy 0.4276 0.5724 0.3070
Dy 0.4916 0.8028 0.9165
Dy 0.5084 0.1972 0.0835
Dy 0.5724 0.4276 0.6930
Dy 0.6972 0.0084 0.5835
Dy 0.8028 0.4916 0.0835
Dy 0.9276 0.0724 0.1930
Dy 0.9916 0.3028 0.5835
Sn 0.1561 0.3439 0.2500
Sn 0.3439 0.1561 0.7500
Sn 0.6561 0.8439 0.2500
Sn 0.8439 0.6561 0.7500
Ge 0.1909 0.8091 0.1277
Ge 0.3091 0.6909 0.6277
Ge 0.6909 0.3091 0.3723
Ge 0.8091 0.1909 0.8723

Largest 10 diffraction maxima, sorted by position, 10° ≤ 2θ ≤ 90°:
2θ/deg	intensity
24.1	30
25.4	92
31.7	66
32.5	33
34.3	93
34.4	77
35.0	91
36.2	58
36.5	100
52.0	37